(1)
Calculated PXRD pattern of LuScPO for Cu Kα, 1.54184 Å, from a crystal structure in OQMD, relaxed with GGA-PBE.
Intensities are scaled so that the largest is 1000.

Peak list (6 most intense, 2θ from 10° to 80°, in order of rising 2θ)
(hkl)	2θ/deg	intensity
0 1 0	12.25	935
0 1 1	21.20	626
1 1 0	25.36	989
1 1 1	30.83	1000
0 0 2	34.89	644
1 2 1	37.77	888

```
data_LuScPO
_chemical_formula_sum 'Lu2 Sc2 P2 O2'
_cell_length_a 4.0181
_cell_length_b 7.2281
_cell_length_c 5.1436
_cell_angle_alpha 90.00
_cell_angle_beta 90.00
_cell_angle_gamma 90.00
_space_group_name_H-M_alt 'P m c 21'
_space_group_IT_number 26
loop_
_space_group_symop_operation_xyz
'x,y,z'
'-x,-y,z+1/2'
'-x,y,z'
'x,-y,z+1/2'
loop_
_atom_site_label
_atom_site_fract_x
_atom_site_fract_y
_atom_site_fract_z
Lu1 0.0000 0.1375 0.0000
Sc1 0.5000 0.2810 0.4724
P1 0.5000 0.3590 0.9700
O1 0.0000 0.1648 0.4497
```

***

(2)
Calculated PXRD pattern of LuTaPO for Cu Kα, 1.54184 Å, from a crystal structure in OQMD, relaxed with GGA-PBE.
Intensities are scaled so that the largest is 1000.

Peak list (6 most intense, 2θ from 10° to 80°, in order of rising 2θ)
(hkl)	2θ/deg	intensity
0 0 2	20.88	359
1 0 2	31.14	621
1 1 1	34.24	1000
1 1 2	38.97	406
2 0 0	46.66	434
1 1 4	54.52	451

```
data_LuTaPO
_chemical_formula_sum 'Lu2 Ta2 P2 O2'
_cell_length_a 3.8932
_cell_length_b 3.8932
_cell_length_c 8.5075
_cell_angle_alpha 90.00
_cell_angle_beta 90.00
_cell_angle_gamma 90.00
_space_group_name_H-M_alt 'P 4/n m m'
_space_group_IT_number 129
loop_
_space_group_symop_operation_xyz
'x,y,z'
'-x,-y,-z'
'-y+1/2,x,z'
'y+1/2,-x,-z'
'-x+1/2,-y+1/2,z'
'x+1/2,y+1/2,-z'
'y,-x+1/2,z'
'-y,x+1/2,-z'
'x+1/2,-y,-z'
'-x+1/2,y,z'
'-y,-x,-z'
'y,x,z'
'-x,y+1/2,-z'
'x,-y+1/2,z'
'y+1/2,x+1/2,-z'
'-y+1/2,-x+1/2,z'
loop_
_atom_site_label
_atom_site_fract_x
_atom_site_fract_y
_atom_site_fract_z
Lu1 0.2500 0.2500 0.1213
Ta1 0.2500 0.7500 0.5000
P1 0.2500 0.2500 0.6966
O1 0.2500 0.7500 0.0000
```

***

(3)
Calculated PXRD pattern of LuZrPO for Cu Kα, 1.54184 Å, from a crystal structure in OQMD, relaxed with GGA-PBE.
Intensities are scaled so that the largest is 1000.

Peak list (6 most intense, 2θ from 10° to 80°, in order of rising 2θ)
(hkl)	2θ/deg	intensity
0 0 1	10.71	696
0 0 2	21.51	394
1 1 1	33.64	1000
1 1 2	38.71	747
2 0 0	45.58	451
1 1 4	55.15	350

```
data_LuZrPO
_chemical_formula_sum 'Lu2 Zr2 P2 O2'
_cell_length_a 3.9802
_cell_length_b 3.9802
_cell_length_c 8.2633
_cell_angle_alpha 90.00
_cell_angle_beta 90.00
_cell_angle_gamma 90.00
_space_group_name_H-M_alt 'P 4/n m m'
_space_group_IT_number 129
loop_
_space_group_symop_operation_xyz
'x,y,z'
'-x,-y,-z'
'-y+1/2,x,z'
'y+1/2,-x,-z'
'-x+1/2,-y+1/2,z'
'x+1/2,y+1/2,-z'
'y,-x+1/2,z'
'-y,x+1/2,-z'
'x+1/2,-y,-z'
'-x+1/2,y,z'
'-y,-x,-z'
'y,x,z'
'-x,y+1/2,-z'
'x,-y+1/2,z'
'y+1/2,x+1/2,-z'
'-y+1/2,-x+1/2,z'
loop_
_atom_site_label
_atom_site_fract_x
_atom_site_fract_y
_atom_site_fract_z
Lu1 0.2500 0.7500 0.0000
Zr1 0.2500 0.2500 0.3694
P1 0.2500 0.2500 0.7780
O1 0.2500 0.7500 0.5000
```

***

(4)
Calculated PXRD pattern of Lu2PdO4 for Cu Kα, 1.54184 Å, from a crystal structure in OQMD, relaxed with GGA-PBE.
Intensities are scaled so that the largest is 1000.

Peak list (6 most intense, 2θ from 10° to 80°, in order of rising 2θ)
(hkl)	2θ/deg	intensity
0 2 0	32.54	186
2 0 0	32.64	215
1 1 3	32.86	1000
2 2 0	46.76	204
3 1 3	58.39	210
2 0 6	58.83	194

```
data_Lu2PdO4
_chemical_formula_sum 'Lu8 Pd4 O16'
_cell_length_a 5.4863
_cell_length_b 5.5032
_cell_length_c 11.4761
_cell_angle_alpha 90.00
_cell_angle_beta 90.00
_cell_angle_gamma 90.00
_space_group_name_H-M_alt 'P b c a'
_space_group_IT_number 61
loop_
_space_group_symop_operation_xyz
'x,y,z'
'-x,-y,-z'
'-x+1/2,-y,z+1/2'
'x+1/2,y,-z+1/2'
'x+1/2,-y+1/2,-z'
'-x+1/2,y+1/2,z'
'-x,y+1/2,-z+1/2'
'x,-y+1/2,z+1/2'
loop_
_atom_site_label
_atom_site_fract_x
_atom_site_fract_y
_atom_site_fract_z
Lu1 0.0071 0.0355 0.1611
Pd1 0.0000 0.0000 0.5000
O1 0.1701 0.6708 0.5084
O2 0.2413 0.2130 0.7557
```

***

(5)
Calculated PXRD pattern of RbLuS2O8 for Cu Kα, 1.54184 Å, from a crystal structure in OQMD, relaxed with GGA-PBE.
Intensities are scaled so that the largest is 1000.

Peak list (6 most intense, 2θ from 10° to 80°, in order of rising 2θ)
(hkl)	2θ/deg	intensity
1 0 0	10.28	1000
0 1 0	17.59	286
0 0 2	23.92	722
2 1 0	27.24	542
2 1 -1	28.94	636
2 1 1	30.67	510

```
data_RbLuS2O8
_chemical_formula_sum 'Rb2 Lu2 S4 O16'
_cell_length_a 8.6516
_cell_length_b 5.0429
_cell_length_c 7.4784
_cell_angle_alpha 90.00
_cell_angle_beta 95.80
_cell_angle_gamma 90.00
_space_group_name_H-M_alt 'P 1 2/c 1'
_space_group_IT_number 13
loop_
_space_group_symop_operation_xyz
'x,y,z'
'-x,-y,-z'
'-x,y,-z+1/2'
'x,-y,z+1/2'
loop_
_atom_site_label
_atom_site_fract_x
_atom_site_fract_y
_atom_site_fract_z
Rb1 0.0000 0.1848 0.2500
Lu1 0.5000 0.1010 0.2500
S1 0.2825 0.3244 0.8415
O1 0.1387 0.3165 0.9255
O2 0.2776 0.1518 0.6790
O3 0.3227 0.3994 0.2958
O4 0.4199 0.2090 0.9596
```

***

(6)
Calculated PXRD pattern of RbLuTeO for Cu Kα, 1.54184 Å, from a crystal structure in OQMD, relaxed with GGA-PBE.
Intensities are scaled so that the largest is 1000.

Peak list (6 most intense, 2θ from 10° to 80°, in order of rising 2θ)
(hkl)	2θ/deg	intensity
2 1 1	28.46	332
1 2 -1	29.02	1000
1 0 2	30.95	452
3 1 -1	32.22	399
2 2 -1	32.84	392
2 2 1	35.77	461

```
data_RbLuTeO
_chemical_formula_sum 'Rb4 Lu4 Te4 O4'
_cell_length_a 9.4271
_cell_length_b 7.2540
_cell_length_c 6.5612
_cell_angle_alpha 90.00
_cell_angle_beta 100.43
_cell_angle_gamma 90.00
_space_group_name_H-M_alt 'P 1 21/c 1'
_space_group_IT_number 14
loop_
_space_group_symop_operation_xyz
'x,y,z'
'-x,-y,-z'
'-x,y+1/2,-z+1/2'
'x,-y+1/2,z+1/2'
loop_
_atom_site_label
_atom_site_fract_x
_atom_site_fract_y
_atom_site_fract_z
Rb1 0.1344 0.0859 0.3289
Lu1 0.4932 0.6351 0.7933
Te1 0.2591 0.5770 0.3677
O1 0.4341 0.1415 0.3815
```

***

(7)
Calculated PXRD pattern of Lu2Re2O5 for Cu Kα, 1.54184 Å, from a crystal structure in OQMD, relaxed with GGA-PBE.
Intensities are scaled so that the largest is 1000.

Peak list (6 most intense, 2θ from 10° to 80°, in order of rising 2θ)
(hkl)	2θ/deg	intensity
0 0 1	13.22	190
1 1 0	32.08	930
1 0 2	35.15	1000
2 0 0	46.01	492
1 0 3	46.74	215
2 1 2	59.19	457

```
data_Lu2Re2O5
_chemical_formula_sum 'Lu2 Re2 O5'
_cell_length_a 3.9455
_cell_length_b 3.9455
_cell_length_c 6.6988
_cell_angle_alpha 90.00
_cell_angle_beta 90.00
_cell_angle_gamma 90.00
_space_group_name_H-M_alt 'P 4/m m m'
_space_group_IT_number 123
_space_group_name_Hall '-P 4 2'
loop_
_atom_site_label
_atom_site_fract_x
_atom_site_fract_y
_atom_site_fract_z
Lu1 0.0000 0.0000 0.0000
Lu2 0.0000 0.0000 0.5000
Re1 0.5000 0.5000 0.1756
O1 0.0000 0.5000 0.2453
O2 0.5000 0.5000 0.5000
```

***

(8)
Calculated PXRD pattern of Sr2LuReO6 for Cu Kα, 1.54184 Å, from a crystal structure in OQMD, relaxed with GGA-PBE.
Intensities are scaled so that the largest is 1000.

Peak list (6 most intense, 2θ from 10° to 80°, in order of rising 2θ)
(hkl)	2θ/deg	intensity
1 1 0	22.10	205
1 1 2	31.02	1000
2 0 0	31.45	530
2 2 0	45.07	266
2 0 4	54.91	222
3 1 2	55.72	431

```
data_Sr2LuReO6
_chemical_formula_sum 'Sr4 Lu2 Re2 O12'
_cell_length_a 5.6895
_cell_length_b 5.6895
_cell_length_c 8.2676
_cell_angle_alpha 90.00
_cell_angle_beta 90.00
_cell_angle_gamma 90.00
_space_group_name_H-M_alt 'I 4/m'
_space_group_IT_number 87
_space_group_name_Hall '-I 4'
loop_
_atom_site_label
_atom_site_fract_x
_atom_site_fract_y
_atom_site_fract_z
Sr1 0.0000 0.5000 0.2500
Lu1 0.0000 0.0000 0.0000
Re1 0.0000 0.0000 0.5000
O1 0.0000 0.0000 0.2597
O2 0.1832 0.7070 0.5000
```